The following is a theoretical powder diffraction line list of TbTlIn2. It was derived from DFT lattice parameters and positions (GGA-PBE), using Cu Ka.
Peak positions follow from Bragg's law for the DFT cell and can differ from measured ones.

Unit cell a=6.501 b=7.855 c=8.281 alpha=90.00 beta=90.00 gamma=90.00
Space group Imma (No. 74)
One atom of each set of equivalent atoms:
Tb (0.000, 0.250, 0.059)
Tl (0.000, 0.250, 0.456)
In (0.250, 0.055, 0.750)

Most intense lines, 10 to 80 degrees two-theta, most intense first:
d_spacing, I_rel, hkl
2.849, 100, 0 2 2
2.504, 93, 2 2 0
2.557, 92, 2 0 2
2.604, 49, 0 1 3
1.640, 42, 2 3 3
2.824, 33, 2 1 1
2.496, 31, 0 3 1
1.412, 23, 4 2 2
1.450, 22, 2 1 5
1.557, 17, 2 4 2